Record 1
Calculated X-ray powder pattern of B4Mo3S for CuKα, from a cell relaxed with GGA-PBE.
Lines closer than 0.1° are merged.

Structure:
a = 3.051 Å, b = 3.100 Å, c = 8.691 Å
α = 90.00°, β = 90.00°, γ = 90.00°
Space group Pmmm (No. 47)
Inequivalent atoms, fractional coordinates:
B 0.000 0.000 0.108
B 0.500 0.000 0.209
Mo 0.000 0.500 0.304
Mo 0.500 0.500 0.000
S 0.500 0.000 0.500

Largest 12 diffraction maxima, by angle, 2θ = 10–90°:
- 2θ 28.80, d 3.100, intensity 66
- 2θ 30.86, d 2.897, intensity 49
- 2θ 31.07, d 2.879, intensity 31
- 2θ 35.97, d 2.497, intensity 100
- 2θ 41.54, d 2.174, intensity 28
- 2θ 42.72, d 2.117, intensity 85
- 2θ 42.87, d 2.109, intensity 71
- 2θ 46.71, d 1.945, intensity 72
- 2θ 61.39, d 1.510, intensity 23
- 2θ 69.19, d 1.358, intensity 35
- 2θ 71.66, d 1.317, intensity 26
- 2θ 77.07, d 1.238, intensity 29



Record 2
Calculated X-ray powder pattern of HoEr2TmTl2 for CuKα, from a cell relaxed with GGA-PBE.
Lines closer than 0.1° are merged.

Structure:
a = 5.3493 Å, b = 5.3493 Å, c = 6.6440 Å
α = 90.00°, β = 90.00°, γ = 120.00°
Space group P-6m2 (No. 187)
Inequivalent atoms, fractional coordinates:
Ho 0.0000 0.0000 0.0000
Er 0.6667 0.3333 0.2515
Tm 0.3333 0.6667 0.5000
Tl 0.0000 0.0000 0.5000
Tl 0.3333 0.6667 0.0000

Largest 12 diffraction maxima, by angle, 2θ = 10–90°:
- 2θ 26.84, d 3.322, intensity 8
- 2θ 33.19, d 2.700, intensity 88
- 2θ 33.50, d 2.675, intensity 100
- 2θ 43.44, d 2.083, intensity 14
- 2θ 47.87, d 1.900, intensity 32
- 2θ 55.31, d 1.661, intensity 8
- 2θ 59.70, d 1.549, intensity 33
- 2θ 59.90, d 1.544, intensity 19
- 2θ 66.23, d 1.411, intensity 28
- 2θ 70.40, d 1.337, intensity 12
- 2θ 80.08, d 1.198, intensity 14
- 2θ 85.95, d 1.131, intensity 14